Computed XRD peak list
Compound: CeDy14Tm
Radiation: Cu Kα (λ = 1.5418 Å)
Structure: a structure optimized by DFT (PBE)
No peak broadening, texture or thermal motion is included.

Principal peaks in the range 2θ = 10–80°, in order of falling intensity:
30.96 deg, rel. 100, (2 0 2)
35.90 deg, rel. 51, (2 2 0)
61.47 deg, rel. 43, (4 2 2)
51.68 deg, rel. 36, (4 0 0)
64.53 deg, rel. 12, (4 0 4)
76.11 deg, rel. 6, (4 4 0)

Crystal structure
```
CeDy14Tm
1.0
7.0752 0.0000 0.0000
0.0000 7.0752 0.0000
0.0000 0.0000 10.0050
Ce Dy Tm
1 14 1
direct
0.0000 0.0000 0.0000 Ce
0.0000 0.0000 0.5000 Dy
0.0000 0.5000 0.0000 Dy
0.0000 0.5000 0.5000 Dy
0.2493 0.2493 0.2492 Dy
0.2493 0.2493 0.7508 Dy
0.2493 0.7507 0.2492 Dy
0.2493 0.7507 0.7508 Dy
0.5000 0.0000 0.0000 Dy
0.5000 0.0000 0.5000 Dy
0.5000 0.5000 0.5000 Dy
0.7507 0.2493 0.2492 Dy
0.7507 0.2493 0.7508 Dy
0.7507 0.7507 0.2492 Dy
0.7507 0.7507 0.7508 Dy
0.5000 0.5000 0.0000 Tm
```



Computed XRD peak list
Compound: Ni9Sn3N2
Radiation: Cu Kα (λ = 1.5418 Å)
Structure: a structure optimized by DFT (PBE)
No peak broadening, texture or thermal motion is included.

Principal peaks in the range 2θ = 10–80°, in order of falling intensity:
43.39 deg, rel. 100, (2 0 3)
40.50 deg, rel. 92, (2 0 2)
47.19 deg, rel. 61, (2 0 4)
40.76 deg, rel. 58, (0 0 6)
68.78 deg, rel. 39, (2 2 0)
38.69 deg, rel. 31, (2 0 1)
76.02 deg, rel. 19, (2 0 9)
69.14 deg, rel. 18, (2 0 8)
51.77 deg, rel. 18, (2 0 5)
32.81 deg, rel. 14, (1 1 0)

Crystal structure
```
Ni9Sn3N2
1.0
5.4595 0.0000 0.0000
-2.7298 4.7281 0.0000
0.0000 0.0000 13.2824
Ni Sn N
18 6 4
direct
0.0051 0.5026 0.2500 Ni
0.1649 0.3297 0.0817 Ni
0.1649 0.3297 0.4183 Ni
0.1649 0.8351 0.0817 Ni
0.1649 0.8351 0.4183 Ni
0.3297 0.1649 0.5817 Ni
0.3297 0.1649 0.9183 Ni
0.4974 0.5026 0.2500 Ni
0.4974 0.9949 0.2500 Ni
0.5026 0.0051 0.7500 Ni
0.5026 0.4974 0.7500 Ni
0.6703 0.8351 0.0817 Ni
0.6703 0.8351 0.4183 Ni
0.8351 0.1649 0.5817 Ni
0.8351 0.1649 0.9183 Ni
0.8351 0.6703 0.5817 Ni
0.8351 0.6703 0.9183 Ni
0.9949 0.4974 0.7500 Ni
0.0000 0.0000 0.2500 Sn
0.0000 0.0000 0.7500 Sn
0.3333 0.6667 0.5851 Sn
0.3333 0.6667 0.9149 Sn
0.6667 0.3333 0.0851 Sn
0.6667 0.3333 0.4149 Sn
0.3333 0.6667 0.1547 N
0.3333 0.6667 0.3453 N
0.6667 0.3333 0.6547 N
0.6667 0.3333 0.8453 N
```



> Which formula does entry 2 have?

Ni9Sn3N2



Copy entry 2 word for word.
Computed XRD peak list
Compound: Ni9Sn3N2
Radiation: Cu Kα (λ = 1.5418 Å)
Structure: a structure optimized by DFT (PBE)
No peak broadening, texture or thermal motion is included.

Principal peaks in the range 2θ = 10–80°, in order of falling intensity:
43.39 deg, rel. 100, (2 0 3)
40.50 deg, rel. 92, (2 0 2)
47.19 deg, rel. 61, (2 0 4)
40.76 deg, rel. 58, (0 0 6)
68.78 deg, rel. 39, (2 2 0)
38.69 deg, rel. 31, (2 0 1)
76.02 deg, rel. 19, (2 0 9)
69.14 deg, rel. 18, (2 0 8)
51.77 deg, rel. 18, (2 0 5)
32.81 deg, rel. 14, (1 1 0)

Crystal structure
```
Ni9Sn3N2
1.0
5.4595 0.0000 0.0000
-2.7298 4.7281 0.0000
0.0000 0.0000 13.2824
Ni Sn N
18 6 4
direct
0.0051 0.5026 0.2500 Ni
0.1649 0.3297 0.0817 Ni
0.1649 0.3297 0.4183 Ni
0.1649 0.8351 0.0817 Ni
0.1649 0.8351 0.4183 Ni
0.3297 0.1649 0.5817 Ni
0.3297 0.1649 0.9183 Ni
0.4974 0.5026 0.2500 Ni
0.4974 0.9949 0.2500 Ni
0.5026 0.0051 0.7500 Ni
0.5026 0.4974 0.7500 Ni
0.6703 0.8351 0.0817 Ni
0.6703 0.8351 0.4183 Ni
0.8351 0.1649 0.5817 Ni
0.8351 0.1649 0.9183 Ni
0.8351 0.6703 0.5817 Ni
0.8351 0.6703 0.9183 Ni
0.9949 0.4974 0.7500 Ni
0.0000 0.0000 0.2500 Sn
0.0000 0.0000 0.7500 Sn
0.3333 0.6667 0.5851 Sn
0.3333 0.6667 0.9149 Sn
0.6667 0.3333 0.0851 Sn
0.6667 0.3333 0.4149 Sn
0.3333 0.6667 0.1547 N
0.3333 0.6667 0.3453 N
0.6667 0.3333 0.6547 N
0.6667 0.3333 0.8453 N
```



What did the first record say?
Computed XRD peak list
Compound: CeDy14Tm
Radiation: Cu Kα (λ = 1.5418 Å)
Structure: a structure optimized by DFT (PBE)
No peak broadening, texture or thermal motion is included.

Principal peaks in the range 2θ = 10–80°, in order of falling intensity:
30.96 deg, rel. 100, (2 0 2)
35.90 deg, rel. 51, (2 2 0)
61.47 deg, rel. 43, (4 2 2)
51.68 deg, rel. 36, (4 0 0)
64.53 deg, rel. 12, (4 0 4)
76.11 deg, rel. 6, (4 4 0)

Crystal structure
```
CeDy14Tm
1.0
7.0752 0.0000 0.0000
0.0000 7.0752 0.0000
0.0000 0.0000 10.0050
Ce Dy Tm
1 14 1
direct
0.0000 0.0000 0.0000 Ce
0.0000 0.0000 0.5000 Dy
0.0000 0.5000 0.0000 Dy
0.0000 0.5000 0.5000 Dy
0.2493 0.2493 0.2492 Dy
0.2493 0.2493 0.7508 Dy
0.2493 0.7507 0.2492 Dy
0.2493 0.7507 0.7508 Dy
0.5000 0.0000 0.0000 Dy
0.5000 0.0000 0.5000 Dy
0.5000 0.5000 0.5000 Dy
0.7507 0.2493 0.2492 Dy
0.7507 0.2493 0.7508 Dy
0.7507 0.7507 0.2492 Dy
0.7507 0.7507 0.7508 Dy
0.5000 0.5000 0.0000 Tm
```